Diffraction record for InGa6I12. The X-ray diffraction stick pattern is calculated, not measured: it uses the PBE geometry in Alexandria and Cu Kα X-rays.
Intensities are scaled so that the largest is 1000.

Atomic structure:
abc: 16.8722 16.8722 10.4928
angles: 90.00 90.00 120.00
Space group R-3 (No. 148, hexagonal axes)
Unique sites:
In: 0.0000 0.0000 0.0000
Ga: 0.0441 0.9248 0.6007
I: 0.0046 0.8466 0.8305
I: 0.0252 0.2458 0.5570

The 12 most intense peaks (10 to 90 degrees two-theta), most intense first:
d [Å]  I/Imax  (hkl)
8.436  1000  1 1 0
3.780  899  1 3 1
2.049  811  6 1 2
3.804  808  3 -2 2
3.192  652  5 -2 1
3.207  503  4 -1 2
4.887  419  3 -1 1
2.546  410  5 1 1
2.998  409  0 4 2
2.066  390  3 2 4
4.218  371  2 2 0
2.692  306  2 2 3